The following is a calculated X-ray diffraction stick pattern of ZrSn4Mo. It was derived from the PBE geometry in Alexandria, using λ = 1.5418 Å (Cu Kα).
Lines closer than 0.1° are merged.

Structure:
a = 6.9231 Å, b = 6.9231 Å, c = 11.6136 Å
α = 90.00°, β = 90.00°, γ = 90.00°
Space group I4/mcm (No. 140)
Symmetry-distinct sites (fractional):
Zr 0.0000 0.0000 0.0000
Sn 0.1547 0.3453 0.1396
Mo 0.0000 0.0000 0.2500

Main lines, sorted by position (15 to 90 degrees two-theta):
29.9 deg, I 95, (2 1 1); 36.0 deg, I 58, (1 1 4); 37.2 deg, I 100, (2 1 3); 40.6 deg, I 46, (2 0 4); 41.2 deg, I 74, (3 1 0); 65.6 deg, I 35, (3 3 4)